[1]
For Rb3YbP2O8, a cell relaxed with PBE gives the calculated powder X-ray diffraction pattern in this record (Cu Kα X-rays).
Neutral-atom scattering factors, no anomalous dispersion.

Atomic structure:
Cell: 5.799 5.799 8.102 Å, 90.00 90.00 120.00°
Sites, in units of the cell vectors:
Rb  0.000  0.000  0.000
Rb  0.333  0.667  0.741
Rb  0.667  0.333  0.259
Yb  0.000  0.000  0.500
P  0.333  0.667  0.273
P  0.667  0.333  0.727
O  0.187  0.373  0.338
O  0.187  0.813  0.338
O  0.333  0.667  0.084
O  0.373  0.187  0.662
O  0.627  0.813  0.338
O  0.667  0.333  0.916
O  0.813  0.187  0.662
O  0.813  0.627  0.662

The 10 most intense peaks (10 to 90 degrees two-theta), in order of rising 2θ:
10.92°, intensity 19; 17.66°, intensity 17; 20.81°, intensity 16; 28.30°, intensity 100; 30.84°, intensity 75; 42.35°, intensity 39; 53.29°, intensity 31; 54.84°, intensity 14; 55.32°, intensity 26; 71.64°, intensity 14

***

[2]
For RbYbP2O7, a cell relaxed with PBE gives the calculated powder X-ray diffraction pattern in this record (Cu Kα X-rays).
Neutral-atom scattering factors, no anomalous dispersion.

Atomic structure:
Cell: 7.838 11.103 8.831 Å, 90.00 105.83 90.00°
Sites, in units of the cell vectors:
Rb  0.187  0.178  0.065
Rb  0.187  0.322  0.565
Rb  0.813  0.678  0.435
Rb  0.813  0.822  0.935
Yb  0.234  0.598  0.251
Yb  0.234  0.902  0.751
Yb  0.766  0.098  0.249
Yb  0.766  0.402  0.749
P  0.130  0.601  0.815
P  0.130  0.899  0.315
P  0.436  0.637  0.686
P  0.436  0.863  0.186
P  0.564  0.137  0.814
P  0.564  0.363  0.314
P  0.870  0.101  0.685
P  0.870  0.399  0.185
O  0.008  0.503  0.719
O  0.008  0.997  0.219
O  0.075  0.727  0.747
O  0.075  0.773  0.247
O  0.144  0.593  0.989
O  0.144  0.907  0.489
O  0.327  0.570  0.797
O  0.327  0.930  0.297
O  0.334  0.610  0.516
O  0.334  0.890  0.016
O  0.379  0.080  0.766
O  0.379  0.420  0.266
O  0.449  0.729  0.229
O  0.449  0.771  0.729
O  0.551  0.229  0.271
O  0.551  0.271  0.771
O  0.621  0.580  0.734
O  0.621  0.920  0.234
O  0.666  0.110  0.984
O  0.666  0.390  0.484
O  0.673  0.070  0.703
O  0.673  0.430  0.203
O  0.856  0.093  0.511
O  0.856  0.407  0.011
O  0.925  0.227  0.753
O  0.925  0.273  0.253
O  0.992  0.003  0.781
O  0.992  0.497  0.281

The 10 most intense peaks (10 to 90 degrees two-theta), in order of rising 2θ:
14.20°, intensity 38; 15.61°, intensity 48; 19.10°, intensity 24; 20.91°, intensity 48; 22.49°, intensity 26; 23.60°, intensity 29; 26.83°, intensity 63; 27.95°, intensity 49; 28.17°, intensity 100; 31.60°, intensity 29

***

[3]
For Rb2Zn3P4O14, a cell relaxed with PBE gives the calculated powder X-ray diffraction pattern in this record (Cu Kα X-rays).
Neutral-atom scattering factors, no anomalous dispersion.

Atomic structure:
Cell: 7.328 7.348 13.461 Å, 90.00 92.19 90.00°
Sites, in units of the cell vectors:
Rb  0.058  0.000  0.085
Rb  0.386  0.750  0.591
Rb  0.614  0.250  0.409
Rb  0.942  0.500  0.915
Zn  0.209  0.252  0.598
Zn  0.211  0.374  0.238
Zn  0.448  0.341  0.886
Zn  0.552  0.841  0.114
Zn  0.789  0.874  0.762
Zn  0.791  0.752  0.402
P  0.112  0.028  0.391
P  0.163  0.039  0.809
P  0.368  0.740  0.317
P  0.432  0.765  0.889
P  0.568  0.265  0.111
P  0.632  0.240  0.683
P  0.837  0.539  0.191
P  0.888  0.528  0.609
O  0.000  0.440  0.148
O  0.000  0.940  0.852
O  0.086  0.488  0.582
O  0.123  0.143  0.297
O  0.130  0.084  0.699
O  0.189  0.825  0.368
O  0.220  0.199  0.877
O  0.232  0.101  0.478
O  0.335  0.583  0.872
O  0.336  0.900  0.807
O  0.345  0.534  0.331
O  0.358  0.798  0.207
O  0.367  0.262  0.136
O  0.397  0.845  0.992
O  0.470  0.318  0.622
O  0.530  0.818  0.378
O  0.603  0.345  0.008
O  0.633  0.762  0.864
O  0.642  0.298  0.793
O  0.655  0.034  0.669
O  0.664  0.400  0.193
O  0.665  0.083  0.128
O  0.768  0.601  0.522
O  0.780  0.699  0.123
O  0.811  0.325  0.632
O  0.870  0.584  0.301
O  0.877  0.643  0.703
O  0.914  0.988  0.418

The 10 most intense peaks (10 to 90 degrees two-theta), in order of rising 2θ:
21.35°, intensity 15; 23.24°, intensity 57; 23.66°, intensity 17; 24.96°, intensity 19; 25.13°, intensity 18; 26.51°, intensity 26; 26.63°, intensity 16; 27.18°, intensity 100; 28.25°, intensity 19; 34.12°, intensity 21

***

[4]
For ReP2O2, a cell relaxed with PBE gives the calculated powder X-ray diffraction pattern in this record (Cu Kα X-rays).
Neutral-atom scattering factors, no anomalous dispersion.

Atomic structure:
Cell: 3.734 3.734 5.300 Å, 90.00 90.00 90.00°
Sites, in units of the cell vectors:
Re  0.000  0.000  0.000
P  0.000  0.000  0.500
P  0.500  0.500  0.500
O  0.000  0.500  0.000
O  0.500  0.000  0.000

The 10 most intense peaks (10 to 90 degrees two-theta), in order of rising 2θ:
16.73°, intensity 66; 23.83°, intensity 83; 29.26°, intensity 100; 33.82°, intensity 40; 33.96°, intensity 45; 41.80°, intensity 39; 48.73°, intensity 61; 57.90°, intensity 30; 60.68°, intensity 27; 66.14°, intensity 20

***

[5]
For P2Rh2O7, a cell relaxed with PBE gives the calculated powder X-ray diffraction pattern in this record (Cu Kα X-rays).
Neutral-atom scattering factors, no anomalous dispersion.

Atomic structure:
Cell: 4.585 10.408 5.744 Å, 90.00 102.74 90.00°
Sites, in units of the cell vectors:
P  0.129  0.097  0.337
P  0.129  0.403  0.837
P  0.871  0.597  0.163
P  0.871  0.903  0.663
Rh  0.421  0.663  0.616
Rh  0.421  0.837  0.116
Rh  0.579  0.163  0.884
Rh  0.579  0.337  0.384
O  0.000  0.000  0.500
O  0.000  0.500  0.000
O  0.129  0.684  0.287
O  0.129  0.816  0.787
O  0.271  0.021  0.164
O  0.271  0.479  0.664
O  0.362  0.179  0.514
O  0.362  0.321  0.014
O  0.638  0.679  0.986
O  0.638  0.821  0.486
O  0.729  0.521  0.336
O  0.729  0.979  0.836
O  0.871  0.184  0.213
O  0.871  0.316  0.713

The 10 most intense peaks (10 to 90 degrees two-theta), in order of rising 2θ:
19.85°, intensity 26; 26.27°, intensity 20; 28.39°, intensity 100; 29.45°, intensity 41; 30.30°, intensity 18; 33.12°, intensity 34; 34.92°, intensity 12; 41.59°, intensity 21; 43.75°, intensity 14; 54.28°, intensity 12

***

[6]
For Si2P3RhO13, a cell relaxed with PBE gives the calculated powder X-ray diffraction pattern in this record (Cu Kα X-rays).
Neutral-atom scattering factors, no anomalous dispersion.

Atomic structure:
Cell: 8.231 8.231 8.881 Å, 90.00 90.00 120.00°
Sites, in units of the cell vectors:
Si  0.333  0.667  0.006
Si  0.333  0.667  0.369
Si  0.667  0.333  0.631
Si  0.667  0.333  0.994
P  0.000  0.281  0.000
P  0.000  0.712  0.500
P  0.281  0.000  0.000
P  0.288  0.288  0.500
P  0.712  0.000  0.500
P  0.719  0.719  0.000
Rh  0.000  0.000  0.255
Rh  0.000  0.000  0.745
O  0.095  0.238  0.128
O  0.101  0.857  0.623
O  0.143  0.244  0.623
O  0.143  0.905  0.128
O  0.147  0.664  0.431
O  0.155  0.478  0.935
O  0.238  0.095  0.872
O  0.244  0.143  0.377
O  0.324  0.845  0.935
O  0.333  0.667  0.188
O  0.336  0.483  0.431
O  0.478  0.155  0.065
O  0.483  0.336  0.569
O  0.517  0.853  0.431
O  0.522  0.676  0.935
O  0.664  0.147  0.569
O  0.667  0.333  0.812
O  0.676  0.522  0.065
O  0.756  0.899  0.623
O  0.762  0.857  0.128
O  0.845  0.324  0.065
O  0.853  0.517  0.569
O  0.857  0.101  0.377
O  0.857  0.762  0.872
O  0.899  0.756  0.377
O  0.905  0.143  0.872

The 10 most intense peaks (10 to 90 degrees two-theta), in order of rising 2θ:
12.42°, intensity 100; 15.94°, intensity 14; 21.59°, intensity 44; 23.61°, intensity 60; 23.83°, intensity 60; 29.59°, intensity 37; 32.20°, intensity 40; 37.86°, intensity 17; 39.11°, intensity 33; 56.75°, intensity 15

***

[7]
For SrPRhO5, a cell relaxed with PBE gives the calculated powder X-ray diffraction pattern in this record (Cu Kα X-rays).
Neutral-atom scattering factors, no anomalous dispersion.

Atomic structure:
Cell: 5.777 5.777 6.956 Å, 101.08 101.08 105.72°
Sites, in units of the cell vectors:
Sr  0.149  0.851  0.750
Sr  0.851  0.149  0.250
P  0.198  0.802  0.250
P  0.802  0.198  0.750
Rh  0.500  0.500  0.000
Rh  0.500  0.500  0.500
O  0.044  0.243  0.915
O  0.177  0.585  0.359
O  0.243  0.044  0.415
O  0.415  0.823  0.141
O  0.418  0.582  0.750
O  0.582  0.418  0.250
O  0.585  0.177  0.859
O  0.757  0.956  0.585
O  0.823  0.415  0.641
O  0.956  0.757  0.085

The 10 most intense peaks (10 to 90 degrees two-theta), in order of rising 2θ:
16.50°, intensity 27; 26.96°, intensity 100; 27.85°, intensity 93; 32.14°, intensity 90; 33.42°, intensity 57; 35.44°, intensity 24; 42.59°, intensity 33; 51.00°, intensity 28; 51.16°, intensity 26; 61.40°, intensity 24